Entry 1:
Diffraction record for CsGe2Sb2. The PXRD pattern is calculated, not measured: it uses DFT lattice parameters and positions (GGA-PBE) and Cu Kα (λ = 1.5418 Å).
No peak broadening, texture or thermal motion is included.

a = 7.355 Å, b = 7.670 Å, c = 7.880 Å
α = 107.72°, β = 98.14°, γ = 117.64°
Atoms (fractional coordinates):
1 Cs 0.105 0.350 0.233
2 Cs 0.895 0.650 0.767
3 Ge 0.217 0.950 0.455
4 Ge 0.493 0.756 0.023
5 Ge 0.507 0.244 0.977
6 Ge 0.783 0.050 0.545
7 Sb 0.233 0.290 0.739
8 Sb 0.499 0.106 0.266
9 Sb 0.501 0.894 0.734
10 Sb 0.767 0.710 0.261

Principal peaks in the range 5° ≤ 2θ ≤ 70°, in order of rising 2θ:
2θ 23.8, intensity 42
2θ 24.4, intensity 52
2θ 25.2, intensity 45
2θ 25.4, intensity 76
2θ 25.8, intensity 30
2θ 27.0, intensity 100
2θ 27.5, intensity 41
2θ 29.2, intensity 70
2θ 29.4, intensity 57
2θ 30.8, intensity 85
2θ 42.5, intensity 31
2θ 49.9, intensity 31

---

Entry 2:
Diffraction record for Li2LaH6. The PXRD pattern is calculated, not measured: it uses DFT lattice parameters and positions (GGA-PBE) and Cu Kα (λ = 1.5418 Å).
No peak broadening, texture or thermal motion is included.

a = 5.559 Å, b = 5.559 Å, c = 5.559 Å
α = 60.00°, β = 60.00°, γ = 60.00°
Atoms (fractional coordinates):
1 Li 0.250 0.250 0.250
2 Li 0.750 0.750 0.750
3 La 0.000 0.000 0.000
4 H 0.288 0.288 0.712
5 H 0.288 0.712 0.288
6 H 0.288 0.712 0.712
7 H 0.712 0.288 0.288
8 H 0.712 0.288 0.712
9 H 0.712 0.712 0.288

Principal peaks in the range 5° ≤ 2θ ≤ 70°, in order of rising 2θ:
2θ 19.6, intensity 100
2θ 22.6, intensity 50
2θ 32.2, intensity 50
2θ 38.0, intensity 58
2θ 39.7, intensity 13
2θ 46.2, intensity 10
2θ 50.6, intensity 26
2θ 52.0, intensity 20
2θ 57.4, intensity 19
2θ 61.3, intensity 19
2θ 67.4, intensity 6

---

Entry 3:
Diffraction record for RbTiCuSe4. The PXRD pattern is calculated, not measured: it uses DFT lattice parameters and positions (GGA-PBE) and Cu Kα (λ = 1.5418 Å).
No peak broadening, texture or thermal motion is included.

a = 6.703 Å, b = 5.567 Å, c = 9.801 Å
α = 90.00°, β = 108.45°, γ = 90.00°
Atoms (fractional coordinates):
1 Rb 0.224 0.250 0.045
2 Rb 0.776 0.750 0.955
3 Ti 0.272 0.250 0.556
4 Ti 0.728 0.750 0.444
5 Cu 0.277 0.750 0.330
6 Cu 0.723 0.250 0.670
7 Se 0.015 0.513 0.672
8 Se 0.015 0.987 0.672
9 Se 0.449 0.750 0.582
10 Se 0.489 0.750 0.183
11 Se 0.511 0.250 0.817
12 Se 0.551 0.250 0.418
13 Se 0.985 0.013 0.328
14 Se 0.985 0.487 0.328

Principal peaks in the range 5° ≤ 2θ ≤ 70°, in order of rising 2θ:
2θ 9.5, intensity 100
2θ 25.1, intensity 43
2θ 27.7, intensity 37
2θ 31.6, intensity 59
2θ 32.2, intensity 23
2θ 32.9, intensity 67
2θ 35.2, intensity 75
2θ 35.3, intensity 31
2θ 42.4, intensity 24
2θ 44.1, intensity 26
2θ 49.6, intensity 29
2θ 58.1, intensity 43

---

Entry 4:
Diffraction record for Na2NpGaS4. The PXRD pattern is calculated, not measured: it uses DFT lattice parameters and positions (GGA-PBE) and Cu Kα (λ = 1.5418 Å).
No peak broadening, texture or thermal motion is included.

a = 8.583 Å, b = 8.321 Å, c = 5.764 Å
α = 90.00°, β = 90.00°, γ = 90.00°
Atoms (fractional coordinates):
1 Na 0.236 0.149 0.000
2 Na 0.264 0.851 0.500
3 Na 0.736 0.851 0.500
4 Na 0.764 0.149 0.000
5 Np 0.000 0.364 0.501
6 Np 0.500 0.636 0.001
7 Ga 0.000 0.675 0.082
8 Ga 0.500 0.325 0.582
9 S 0.000 0.399 0.995
10 S 0.000 0.679 0.480
11 S 0.231 0.809 0.993
12 S 0.269 0.191 0.493
13 S 0.500 0.321 0.980
14 S 0.500 0.601 0.495
15 S 0.731 0.191 0.493
16 S 0.769 0.809 0.993

Principal peaks in the range 5° ≤ 2θ ≤ 70°, in order of rising 2θ:
2θ 10.6, intensity 100
2θ 18.5, intensity 48
2θ 18.7, intensity 82
2θ 20.7, intensity 50
2θ 21.4, intensity 55
2θ 23.3, intensity 93
2θ 26.4, intensity 43
2θ 31.0, intensity 59
2θ 33.8, intensity 45
2θ 38.7, intensity 53
2θ 39.2, intensity 41
2θ 50.4, intensity 58

---

Entry 5:
Diffraction record for Zr4TlZn. The PXRD pattern is calculated, not measured: it uses DFT lattice parameters and positions (GGA-PBE) and Cu Kα (λ = 1.5418 Å).
No peak broadening, texture or thermal motion is included.

a = 6.838 Å, b = 6.838 Å, c = 5.654 Å
α = 90.00°, β = 90.00°, γ = 90.00°
Atoms (fractional coordinates):
1 Zr 0.140 0.338 0.000
2 Zr 0.140 0.662 0.500
3 Zr 0.338 0.140 0.500
4 Zr 0.338 0.860 0.000
5 Zr 0.662 0.140 0.000
6 Zr 0.662 0.860 0.500
7 Zr 0.860 0.338 0.500
8 Zr 0.860 0.662 0.000
9 Tl 0.500 0.500 0.250
10 Tl 0.500 0.500 0.750
11 Zn 0.000 0.000 0.250
12 Zn 0.000 0.000 0.750

Principal peaks in the range 5° ≤ 2θ ≤ 70°, in order of rising 2θ:
2θ 12.9, intensity 31
2θ 18.3, intensity 27
2θ 29.2, intensity 23
2θ 33.3, intensity 100
2θ 36.8, intensity 74
2θ 37.2, intensity 21
2θ 41.4, intensity 51
2θ 41.8, intensity 74
2θ 57.4, intensity 20
2θ 60.6, intensity 15
2θ 63.6, intensity 29
2θ 66.8, intensity 28

---

Entry 6:
Diffraction record for Er4RuI2. The PXRD pattern is calculated, not measured: it uses DFT lattice parameters and positions (GGA-PBE) and Cu Kα (λ = 1.5418 Å).
No peak broadening, texture or thermal motion is included.

a = 6.152 Å, b = 4.032 Å, c = 11.073 Å
α = 90.00°, β = 92.92°, γ = 90.00°
Atoms (fractional coordinates):
1 Er 0.138 0.000 0.362
2 Er 0.353 0.500 0.632
3 Er 0.647 0.500 0.368
4 Er 0.862 0.000 0.638
5 Ru 0.500 0.000 0.500
6 I 0.262 0.500 0.152
7 I 0.738 0.500 0.848

Principal peaks in the range 5° ≤ 2θ ≤ 70°, in order of rising 2θ:
2θ 8.0, intensity 100
2θ 16.1, intensity 13
2θ 30.7, intensity 61
2θ 31.5, intensity 19
2θ 32.4, intensity 14
2θ 34.1, intensity 17
2θ 35.6, intensity 17
2θ 42.9, intensity 20
2θ 45.0, intensity 11
2θ 49.9, intensity 13
2θ 50.3, intensity 12
2θ 57.6, intensity 11

---

Entry 7:
Diffraction record for PdPtRh. The PXRD pattern is calculated, not measured: it uses DFT lattice parameters and positions (GGA-PBE) and Cu Kα (λ = 1.5418 Å).
No peak broadening, texture or thermal motion is included.

a = 2.760 Å, b = 3.912 Å, c = 8.349 Å
α = 90.00°, β = 90.00°, γ = 90.00°
Atoms (fractional coordinates):
1 Pd 0.250 0.250 0.085
2 Pd 0.750 0.750 0.915
3 Pt 0.250 0.250 0.745
4 Pt 0.750 0.750 0.255
5 Rh 0.250 0.250 0.421
6 Rh 0.750 0.750 0.579

Principal peaks in the range 5° ≤ 2θ ≤ 70°, in order of rising 2θ:
2θ 21.3, intensity 10
2θ 25.1, intensity 14
2θ 34.2, intensity 7
2θ 39.8, intensity 100
2θ 40.0, intensity 99
2θ 45.7, intensity 6
2θ 46.4, intensity 97
2θ 58.9, intensity 3
2θ 60.4, intensity 3
2θ 67.3, intensity 10
2θ 67.7, intensity 41
2θ 67.9, intensity 10

---

Entry 8:
Diffraction record for Y3Be2Fe7. The PXRD pattern is calculated, not measured: it uses DFT lattice parameters and positions (GGA-PBE) and Cu Kα (λ = 1.5418 Å).
No peak broadening, texture or thermal motion is included.

a = 8.291 Å, b = 8.291 Å, c = 8.291 Å
α = 35.77°, β = 35.77°, γ = 35.77°
Atoms (fractional coordinates):
1 Y 0.000 0.000 0.000
2 Y 0.141 0.141 0.141
3 Y 0.859 0.859 0.859
4 Be 0.333 0.333 0.333
5 Be 0.667 0.667 0.667
6 Fe 0.078 0.576 0.576
7 Fe 0.424 0.424 0.922
8 Fe 0.424 0.922 0.424
9 Fe 0.500 0.500 0.500
10 Fe 0.576 0.078 0.576
11 Fe 0.576 0.576 0.078
12 Fe 0.922 0.424 0.424

Principal peaks in the range 5° ≤ 2θ ≤ 70°, in order of rising 2θ:
2θ 33.8, intensity 70
2θ 35.3, intensity 30
2θ 37.0, intensity 66
2θ 37.2, intensity 18
2θ 41.1, intensity 79
2θ 41.7, intensity 35
2θ 42.5, intensity 100
2θ 45.5, intensity 23
2θ 62.3, intensity 22
2θ 64.4, intensity 28
2θ 67.4, intensity 18
2θ 68.2, intensity 23

---

Entry 9:
Diffraction record for K2CuAgI5. The PXRD pattern is calculated, not measured: it uses DFT lattice parameters and positions (GGA-PBE) and Cu Kα (λ = 1.5418 Å).
No peak broadening, texture or thermal motion is included.

a = 11.558 Å, b = 11.558 Å, c = 13.856 Å
α = 90.00°, β = 90.00°, γ = 158.15°
Atoms (fractional coordinates):
1 K 0.113 0.887 0.500
2 K 0.126 0.874 0.878
3 K 0.874 0.126 0.378
4 K 0.887 0.113 0.000
5 Cu 0.436 0.564 0.628
6 Cu 0.564 0.436 0.128
7 Ag 0.223 0.777 0.227
8 Ag 0.777 0.223 0.727
9 I 0.033 0.967 0.217
10 I 0.286 0.714 0.871
11 I 0.323 0.677 0.595
12 I 0.348 0.652 0.187
13 I 0.489 0.511 0.460
14 I 0.511 0.489 0.960
15 I 0.652 0.348 0.687
16 I 0.677 0.323 0.095
17 I 0.714 0.286 0.371
18 I 0.967 0.033 0.717

Principal peaks in the range 5° ≤ 2θ ≤ 70°, in order of rising 2θ:
2θ 10.1, intensity 19
2θ 12.8, intensity 20
2θ 24.4, intensity 92
2θ 24.9, intensity 22
2θ 26.8, intensity 47
2θ 28.3, intensity 100
2θ 31.2, intensity 42
2θ 38.6, intensity 20
2θ 41.2, intensity 37
2θ 41.9, intensity 23
2θ 43.4, intensity 22
2θ 43.5, intensity 34

---

Entry 10:
Diffraction record for Sc5SnGe6. The PXRD pattern is calculated, not measured: it uses DFT lattice parameters and positions (GGA-PBE) and Cu Kα (λ = 1.5418 Å).
No peak broadening, texture or thermal motion is included.

a = 5.379 Å, b = 6.846 Å, c = 7.816 Å
α = 110.04°, β = 102.56°, γ = 106.36°
Atoms (fractional coordinates):
1 Sc 0.000 0.000 0.000
2 Sc 0.314 0.815 0.630
3 Sc 0.378 0.377 0.756
4 Sc 0.622 0.623 0.244
5 Sc 0.686 0.185 0.370
6 Sn 0.000 0.500 0.000
7 Ge 0.139 0.983 0.370
8 Ge 0.232 0.387 0.371
9 Ge 0.450 0.812 0.000
10 Ge 0.550 0.188 0.000
11 Ge 0.768 0.613 0.629
12 Ge 0.861 0.017 0.630

Principal peaks in the range 5° ≤ 2θ ≤ 70°, in order of rising 2θ:
2θ 22.7, intensity 45
2θ 25.9, intensity 17
2θ 32.0, intensity 14
2θ 32.1, intensity 14
2θ 34.1, intensity 100
2θ 34.8, intensity 80
2θ 39.3, intensity 40
2θ 41.5, intensity 98
2θ 41.8, intensity 21
2θ 42.1, intensity 19
2θ 46.7, intensity 19
2θ 53.5, intensity 20

---

Entry 11:
Diffraction record for LiCu2Cl6. The PXRD pattern is calculated, not measured: it uses DFT lattice parameters and positions (GGA-PBE) and Cu Kα (λ = 1.5418 Å).
No peak broadening, texture or thermal motion is included.

a = 7.988 Å, b = 7.988 Å, c = 7.988 Å
α = 46.83°, β = 46.83°, γ = 46.83°
Atoms (fractional coordinates):
1 Li 0.000 0.000 0.000
2 Cu 0.585 0.585 0.585
3 Cu 0.748 0.748 0.748
4 Cl 0.065 0.781 0.394
5 Cl 0.232 0.623 0.901
6 Cl 0.394 0.065 0.781
7 Cl 0.623 0.901 0.232
8 Cl 0.781 0.394 0.065
9 Cl 0.901 0.232 0.623

Principal peaks in the range 5° ≤ 2θ ≤ 70°, in order of rising 2θ:
2θ 16.7, intensity 89
2θ 18.2, intensity 25
2θ 25.1, intensity 100
2θ 26.5, intensity 28
2θ 30.9, intensity 91
2θ 32.8, intensity 17
2θ 33.7, intensity 24
2θ 43.8, intensity 17
2θ 44.4, intensity 17
2θ 48.0, intensity 22
2θ 49.7, intensity 36
2θ 56.5, intensity 44

---

Entry 12:
Diffraction record for Mg5Ir. The PXRD pattern is calculated, not measured: it uses DFT lattice parameters and positions (GGA-PBE) and Cu Kα (λ = 1.5418 Å).
No peak broadening, texture or thermal motion is included.

a = 3.247 Å, b = 3.247 Å, c = 11.286 Å
α = 90.00°, β = 90.00°, γ = 90.00°
Atoms (fractional coordinates):
1 Mg 0.000 0.000 0.000
2 Mg 0.000 0.000 0.373
3 Mg 0.000 0.000 0.627
4 Mg 0.500 0.500 0.188
5 Mg 0.500 0.500 0.812
6 Ir 0.500 0.500 0.500

Principal peaks in the range 5° ≤ 2θ ≤ 70°, in order of rising 2θ:
2θ 7.8, intensity 100
2θ 15.7, intensity 22
2θ 23.7, intensity 8
2θ 27.5, intensity 10
2θ 28.6, intensity 17
2θ 31.8, intensity 12
2θ 36.6, intensity 33
2θ 39.2, intensity 15
2θ 40.1, intensity 9
2θ 42.5, intensity 19
2θ 49.2, intensity 6
2θ 69.4, intensity 10